(1)
Computed powder XRD pattern
Compound: La20Os12C13
Radiation: Cu Kα
Structure: the PBE geometry in Alexandria

Top 10 peaks for 10 to 90 degrees two-theta, sorted by position:
- 7.937 Å, I 9
- 3.422 Å, I 13
- 3.000 Å, I 15
- 2.745 Å, I 100
- 2.646 Å, I 20
- 2.592 Å, I 7
- 2.096 Å, I 15
- 1.904 Å, I 7
- 1.816 Å, I 17
- 1.440 Å, I 11

Atomic structure:
a = 6.8438 Å, b = 15.8738 Å, c = 9.1658 Å
α = 90.00°, β = 90.04°, γ = 90.00°
Fractional coordinates of all 45 atoms:
La  0.0000  0.1652  0.0000
La  0.0000  0.3319  0.5000
La  0.0000  0.6681  0.5000
La  0.0000  0.8348  0.0000
La  0.2487  0.3743  0.1250
La  0.2491  0.5000  0.7484
La  0.2487  0.6257  0.1250
La  0.2702  0.0000  0.2633
La  0.2700  0.1185  0.6193
La  0.2700  0.8815  0.6193
La  0.5000  0.1671  0.0000
La  0.5000  0.3339  0.5000
La  0.5000  0.6661  0.5000
La  0.5000  0.8329  0.0000
La  0.7298  0.0000  0.7367
La  0.7300  0.1185  0.3807
La  0.7300  0.8815  0.3807
La  0.7513  0.3743  0.8750
La  0.7509  0.5000  0.2516
La  0.7513  0.6257  0.8750
Os  0.2498  0.0000  0.9056
Os  0.2500  0.2032  0.2965
Os  0.2497  0.2990  0.7992
Os  0.2497  0.5000  0.4028
Os  0.2497  0.7010  0.7992
Os  0.2500  0.7968  0.2965
Os  0.7502  0.0000  0.0944
Os  0.7500  0.2032  0.7035
Os  0.7503  0.2990  0.2008
Os  0.7503  0.5000  0.5972
Os  0.7503  0.7010  0.2008
Os  0.7500  0.7968  0.7035
C  0.0000  0.0000  0.0000
C  0.0000  0.5000  0.5000
C  0.0013  0.2500  0.7512
C  0.0013  0.7500  0.7512
C  0.4982  0.2503  0.7500
C  0.4982  0.7497  0.7500
C  0.5000  0.0000  0.0000
C  0.5000  0.0000  0.5000
C  0.5000  0.5000  0.5000
C  0.5018  0.2503  0.2500
C  0.5018  0.7497  0.2500
C  0.9987  0.2500  0.2488
C  0.9987  0.7500  0.2488

***

(2)
Computed powder XRD pattern
Compound: La2OsC4
Radiation: Cu Kα
Structure: the PBE geometry in Alexandria

Top 10 peaks for 10 to 90 degrees two-theta, sorted by position:
- 6.275 Å, I 36
- 3.380 Å, I 59
- 3.138 Å, I 34
- 3.121 Å, I 100
- 3.075 Å, I 68
- 2.571 Å, I 53
- 2.516 Å, I 70
- 2.262 Å, I 28
- 1.866 Å, I 34
- 1.664 Å, I 52

Atomic structure:
a = 7.0220 Å, b = 7.0220 Å, c = 7.0220 Å
α = 110.83°, β = 87.17°, γ = 133.94°
Fractional coordinates of all 14 atoms:
La  0.1512  0.1489  0.3001
La  0.3488  0.6489  0.9976
La  0.6512  0.3511  0.0024
La  0.8488  0.8511  0.6999
Os  0.2500  0.7500  0.5000
Os  0.7500  0.2500  0.5000
C  0.0721  0.6694  0.7415
C  0.1207  0.8299  0.9505
C  0.3793  0.3299  0.7092
C  0.4279  0.1694  0.5974
C  0.5721  0.8306  0.4026
C  0.6207  0.6701  0.2908
C  0.8793  0.1701  0.0495
C  0.9279  0.3306  0.2585

***

(3)
Computed powder XRD pattern
Compound: La7Os4C9
Radiation: Cu Kα
Structure: the PBE geometry in Alexandria

Top 10 peaks for 10 to 90 degrees two-theta, sorted by position:
- 4.891 Å, I 15
- 3.226 Å, I 35
- 2.817 Å, I 93
- 2.778 Å, I 100
- 2.714 Å, I 60
- 2.617 Å, I 18
- 1.954 Å, I 25
- 1.579 Å, I 12
- 1.462 Å, I 13
- 1.448 Å, I 13

Atomic structure:
a = 6.6024 Å, b = 6.6024 Å, c = 12.0202 Å
α = 108.75°, β = 108.75°, γ = 48.55°
Fractional coordinates of all 20 atoms:
La  0.0000  0.0000  0.0000
La  0.1392  0.1392  0.6174
La  0.1450  0.1450  0.3188
La  0.3741  0.3741  0.1578
La  0.6259  0.6259  0.8422
La  0.8550  0.8550  0.6812
La  0.8608  0.8608  0.3826
Os  0.3581  0.3581  0.8590
Os  0.4342  0.4342  0.5716
Os  0.5658  0.5658  0.4284
Os  0.6419  0.6419  0.1410
C  0.0787  0.0787  0.8198
C  0.1964  0.1964  0.8544
C  0.3849  0.3849  0.7095
C  0.3921  0.3921  0.3883
C  0.5000  0.5000  0.0000
C  0.6079  0.6079  0.6117
C  0.6151  0.6151  0.2905
C  0.8036  0.8036  0.1456
C  0.9213  0.9213  0.1802

***

(4)
Computed powder XRD pattern
Compound: LaPr2OsC2
Radiation: Cu Kα
Structure: the PBE geometry in Alexandria

Top 10 peaks for 10 to 90 degrees two-theta, sorted by position:
- 5.216 Å, I 11
- 2.928 Å, I 27
- 2.870 Å, I 14
- 2.857 Å, I 100
- 2.760 Å, I 9
- 2.050 Å, I 13
- 1.992 Å, I 15
- 1.676 Å, I 18
- 1.647 Å, I 13
- 1.264 Å, I 8

Atomic structure:
a = 5.8551 Å, b = 11.4814 Å, c = 3.9849 Å
α = 90.00°, β = 90.00°, γ = 90.00°
Fractional coordinates of all 12 atoms:
La  0.0000  0.0000  0.0000
La  0.5000  0.5000  0.5000
Pr  0.0302  0.2955  0.5000
Pr  0.4698  0.7955  0.0000
Pr  0.5302  0.2045  0.0000
Pr  0.9698  0.7045  0.5000
Os  0.0000  0.5000  0.0000
Os  0.5000  0.0000  0.5000
C  0.2472  0.8890  0.5000
C  0.2528  0.3890  0.0000
C  0.7472  0.6110  0.0000
C  0.7528  0.1110  0.5000

***

(5)
Computed powder XRD pattern
Compound: La2TbOsC2
Radiation: Cu Kα
Structure: the PBE geometry in Alexandria

Top 10 peaks for 10 to 90 degrees two-theta, sorted by position:
- 2.894 Å, I 24
- 2.852 Å, I 16
- 2.807 Å, I 100
- 2.136 Å, I 7
- 2.031 Å, I 13
- 1.941 Å, I 11
- 1.654 Å, I 15
- 1.612 Å, I 9
- 1.403 Å, I 9
- 1.233 Å, I 9

Atomic structure:
a = 5.7885 Å, b = 11.4082 Å, c = 3.8828 Å
α = 90.00°, β = 90.00°, γ = 90.00°
Fractional coordinates of all 12 atoms:
La  0.0481  0.2072  0.0000
La  0.4519  0.7072  0.5000
La  0.5481  0.2928  0.5000
La  0.9519  0.7928  0.0000
Tb  0.0000  0.5000  0.5000
Tb  0.5000  0.0000  0.0000
Os  0.0000  0.0000  0.5000
Os  0.5000  0.5000  0.0000
C  0.2258  0.6008  0.0000
C  0.2742  0.1008  0.5000
C  0.7258  0.8992  0.5000
C  0.7742  0.3992  0.0000

***

(6)
Computed powder XRD pattern
Compound: LaTh2OsC4
Radiation: Cu Kα
Structure: the PBE geometry in Alexandria

Top 10 peaks for 10 to 90 degrees two-theta, sorted by position:
- 5.586 Å, I 26
- 3.507 Å, I 30
- 3.184 Å, I 41
- 3.108 Å, I 42
- 3.078 Å, I 100
- 2.708 Å, I 35
- 2.684 Å, I 23
- 2.521 Å, I 78
- 2.357 Å, I 29
- 1.852 Å, I 28

Atomic structure:
a = 6.4806 Å, b = 6.4806 Å, c = 12.7347 Å
α = 90.00°, β = 90.00°, γ = 147.14°
Fractional coordinates of all 16 atoms:
La  0.0878  0.9122  0.7500
La  0.9122  0.0878  0.2500
Th  0.3678  0.6322  0.5424
Th  0.3678  0.6322  0.9576
Th  0.6322  0.3678  0.0424
Th  0.6322  0.3678  0.4576
Os  0.1724  0.8276  0.2500
Os  0.8276  0.1724  0.7500
C  0.0000  0.0000  0.0000
C  0.0000  0.0000  0.5000
C  0.2626  0.7374  0.1295
C  0.2626  0.7374  0.3705
C  0.4076  0.5924  0.7500
C  0.5924  0.4076  0.2500
C  0.7374  0.2626  0.6295
C  0.7374  0.2626  0.8705

***

(7)
Computed powder XRD pattern
Compound: LaPaCS
Radiation: Cu Kα
Structure: the PBE geometry in Alexandria

Top 10 peaks for 10 to 90 degrees two-theta, sorted by position:
- 3.408 Å, I 45
- 3.367 Å, I 18
- 3.238 Å, I 31
- 3.150 Å, I 46
- 2.948 Å, I 100
- 2.515 Å, I 24
- 2.220 Å, I 21
- 1.970 Å, I 51
- 1.821 Å, I 22
- 1.706 Å, I 37

Atomic structure:
a = 13.8289 Å, b = 13.8289 Å, c = 13.8289 Å
α = 16.39°, β = 16.39°, γ = 16.39°
Fractional coordinates of all 8 atoms:
La  0.2064  0.2064  0.2064
La  0.7936  0.7936  0.7936
Pa  0.3686  0.3686  0.3686
Pa  0.6314  0.6314  0.6314
C  0.3116  0.3116  0.3116
C  0.6884  0.6884  0.6884
S  0.0818  0.0818  0.0818
S  0.9182  0.9182  0.9182

***

(8)
Computed powder XRD pattern
Compound: La6Pb2C
Radiation: Cu Kα
Structure: the PBE geometry in Alexandria

Top 10 peaks for 10 to 90 degrees two-theta, sorted by position:
- 4.892 Å, I 10
- 3.250 Å, I 20
- 3.181 Å, I 22
- 2.976 Å, I 11
- 2.843 Å, I 14
- 2.818 Å, I 100
- 2.793 Å, I 11
- 2.769 Å, I 32
- 1.739 Å, I 16
- 1.605 Å, I 10

Atomic structure:
a = 6.8550 Å, b = 9.6068 Å, c = 10.1663 Å
α = 90.00°, β = 119.75°, γ = 90.00°
Fractional coordinates of all 18 atoms:
La  0.1379  0.1204  0.4755
La  0.1379  0.3796  0.9755
La  0.3226  0.7445  0.9436
La  0.3226  0.7555  0.4436
La  0.3388  0.0445  0.2118
La  0.3388  0.4555  0.7118
La  0.6612  0.5445  0.2882
La  0.6612  0.9555  0.7882
La  0.6774  0.2445  0.5564
La  0.6774  0.2555  0.0564
La  0.8621  0.6204  0.0245
La  0.8621  0.8796  0.5245
Pb  0.1835  0.0917  0.8192
Pb  0.1835  0.4083  0.3192
Pb  0.8165  0.5917  0.6808
Pb  0.8165  0.9083  0.1808
C  0.5000  0.0000  0.5000
C  0.5000  0.5000  0.0000

***

(9)
Computed powder XRD pattern
Compound: La6Pb2C
Radiation: Cu Kα
Structure: the PBE geometry in Alexandria

Top 10 peaks for 10 to 90 degrees two-theta, sorted by position:
- 2.983 Å, I 100
- 2.588 Å, I 18
- 2.580 Å, I 35
- 1.827 Å, I 38
- 1.560 Å, I 15
- 1.557 Å, I 29
- 1.491 Å, I 13
- 1.186 Å, I 12
- 1.184 Å, I 6
- 1.154 Å, I 11

Atomic structure:
a = 7.3097 Å, b = 7.3097 Å, c = 7.3097 Å
α = 120.10°, β = 120.10°, γ = 89.83°
Fractional coordinates of all 9 atoms:
La  0.2444  0.2444  0.0000
La  0.2451  0.2451  0.4902
La  0.2451  0.7549  0.0000
La  0.7549  0.2451  0.0000
La  0.7549  0.7549  0.5098
La  0.7556  0.7556  0.0000
Pb  0.2500  0.7500  0.5000
Pb  0.7500  0.2500  0.5000
C  0.0000  0.0000  0.0000

***

(10)
Computed powder XRD pattern
Compound: La4SnPbC
Radiation: Cu Kα
Structure: the PBE geometry in Alexandria

Top 10 peaks for 10 to 90 degrees two-theta, sorted by position:
- 3.595 Å, I 23
- 3.319 Å, I 69
- 2.882 Å, I 29
- 2.764 Å, I 100
- 2.542 Å, I 63
- 1.906 Å, I 35
- 1.797 Å, I 26
- 1.581 Å, I 16
- 1.525 Å, I 17
- 1.507 Å, I 32

Atomic structure:
a = 9.3636 Å, b = 9.3636 Å, c = 7.1953 Å
α = 90.00°, β = 90.00°, γ = 134.89°
Fractional coordinates of all 14 atoms:
La  0.0000  0.5000  0.0000
La  0.0000  0.5000  0.5000
La  0.0785  0.9215  0.7500
La  0.4123  0.5877  0.7500
La  0.5000  0.0000  0.0000
La  0.5000  0.0000  0.5000
La  0.5877  0.4123  0.2500
La  0.9215  0.0785  0.2500
Sn  0.1109  0.8891  0.2500
Sn  0.8891  0.1109  0.7500
Pb  0.3895  0.6105  0.2500
Pb  0.6105  0.3895  0.7500
C  0.2692  0.7308  0.7500
C  0.7308  0.2692  0.2500

***

(11)
Computed powder XRD pattern
Compound: La2PrC4
Radiation: Cu Kα
Structure: the PBE geometry in Alexandria

Top 10 peaks for 10 to 90 degrees two-theta, sorted by position:
- 3.512 Å, I 59
- 3.381 Å, I 100
- 3.138 Å, I 78
- 2.908 Å, I 57
- 2.682 Å, I 67
- 2.525 Å, I 19
- 2.460 Å, I 21
- 1.903 Å, I 32
- 1.797 Å, I 25
- 1.782 Å, I 55

Atomic structure:
a = 7.3798 Å, b = 7.3798 Å, c = 7.3798 Å
α = 103.70°, β = 94.41°, γ = 133.34°
Fractional coordinates of all 14 atoms:
La  0.1464  0.1427  0.2891
La  0.3536  0.6427  0.9964
La  0.6464  0.3573  0.0036
La  0.8536  0.8573  0.7109
Pr  0.2500  0.7500  0.5000
Pr  0.7500  0.2500  0.5000
C  0.0950  0.7217  0.8167
C  0.1315  0.8627  0.9942
C  0.3685  0.3627  0.7311
C  0.4050  0.2217  0.6268
C  0.5950  0.7783  0.3732
C  0.6315  0.6373  0.2689
C  0.8685  0.1373  0.0058
C  0.9050  0.2783  0.1833